Starting from DFT lattice parameters and positions (GGA-PBE), the powder X-ray diffraction pattern of SrZn2Ni2 was calculated for Cu Kα (weighted mean of Kα1 and Kα2).
Kinematic intensities with the Lorentz-polarization factor, no thermal factor.

Principal peaks in the range 10° ≤ 2θ ≤ 90°, most intense first:
2θ 34.09, I = 100
2θ 34.77, I = 94
2θ 42.49, I = 84
2θ 55.56, I = 47
2θ 47.17, I = 31
2θ 61.66, I = 26
2θ 63.66, I = 25
2θ 72.77, I = 20
2θ 50.26, I = 20
2θ 29.69, I = 17

Crystal structure
```
SrZn2Ni2
1.0
4.2548 0.0000 0.0000
0.0000 4.2548 0.0000
0.0000 0.0000 10.0350
Sr Zn Ni
2 4 4
Direct
0.0000 0.0000 0.0000 Sr
0.5000 0.5000 0.5000 Sr
0.0000 0.0000 0.3664 Zn
0.0000 0.0000 0.6336 Zn
0.5000 0.5000 0.1336 Zn
0.5000 0.5000 0.8664 Zn
0.0000 0.5000 0.2500 Ni
0.0000 0.5000 0.7500 Ni
0.5000 0.0000 0.2500 Ni
0.5000 0.0000 0.7500 Ni
```


Starting from DFT lattice parameters and positions (GGA-PBE), the powder X-ray diffraction pattern of Cs2ZnRhBr6 was calculated for Cu Kα (weighted mean of Kα1 and Kα2).
Kinematic intensities with the Lorentz-polarization factor, no thermal factor.

Principal peaks in the range 10° ≤ 2θ ≤ 90°, most intense first:
2θ 28.97, I = 100
2θ 33.28, I = 90
2θ 48.43, I = 61
2θ 34.16, I = 42
2θ 23.67, I = 38
2θ 47.77, I = 31
2θ 60.03, I = 31
2θ 56.84, I = 28
2θ 89.57, I = 21
2θ 23.36, I = 20

Crystal structure
```
Cs2ZnRhBr6
1.0
-3.8076 3.8076 5.2496
3.8076 -3.8076 5.2496
3.8076 3.8076 -5.2496
Cs Zn Rh Br
2 1 1 6
Direct
0.2500 0.7500 0.5000 Cs
0.7500 0.2500 0.5000 Cs
0.0000 0.0000 0.0000 Zn
0.5000 0.5000 0.0000 Rh
0.2498 0.2498 0.0000 Br
0.2600 0.2600 0.5201 Br
0.2600 0.7400 0.0000 Br
0.7400 0.2600 0.0000 Br
0.7400 0.7400 0.4799 Br
0.7502 0.7502 0.0000 Br
```


Starting from DFT lattice parameters and positions (GGA-PBE), the powder X-ray diffraction pattern of SiAg2BSe4 was calculated for Cu Kα (weighted mean of Kα1 and Kα2).
Kinematic intensities with the Lorentz-polarization factor, no thermal factor.

Principal peaks in the range 10° ≤ 2θ ≤ 90°, most intense first:
2θ 27.63, I = 100
2θ 28.47, I = 85
2θ 29.19, I = 76
2θ 45.46, I = 56
2θ 25.33, I = 56
2θ 43.05, I = 35
2θ 49.20, I = 27
2θ 43.50, I = 26
2θ 34.81, I = 26
2θ 45.67, I = 25

Crystal structure
```
SiAg2BSe4
1.0
5.6333 0.0000 0.0000
0.3068 5.9714 0.0000
2.5441 2.3292 5.2636
Si Ag B Se
1 2 1 4
Direct
0.0000 0.0000 0.0000 Si
0.2603 0.7767 0.4132 Ag
0.4714 0.5735 0.9852 Ag
0.6899 0.2322 0.5077 B
0.3699 0.3510 0.7143 Se
0.6255 0.1502 0.2419 Se
0.8409 0.9501 0.7096 Se
0.9722 0.5759 0.2671 Se
```


Starting from DFT lattice parameters and positions (GGA-PBE), the powder X-ray diffraction pattern of Sc2PaTaO8 was calculated for Cu Kα (weighted mean of Kα1 and Kα2).
Kinematic intensities with the Lorentz-polarization factor, no thermal factor.

Principal peaks in the range 10° ≤ 2θ ≤ 90°, most intense first:
2θ 32.65, I = 100
2θ 18.29, I = 99
2θ 25.75, I = 61
2θ 26.21, I = 57
2θ 49.95, I = 42
2θ 50.47, I = 40
2θ 37.51, I = 32
2θ 37.07, I = 27
2θ 64.03, I = 24
2θ 26.81, I = 20

Crystal structure
```
Sc2PaTaO8
1.0
3.4006 -3.4602 0.0000
3.4006 3.4602 0.0000
0.0000 0.0000 6.6506
Sc Pa Ta O
2 1 1 8
Direct
0.0000 0.0000 0.2375 Sc
0.0000 0.0000 0.7625 Sc
0.5000 0.5000 0.5000 Pa
0.5000 0.5000 0.0000 Ta
0.1916 0.1916 0.5000 O
0.2052 0.2052 0.0000 O
0.3094 0.6906 0.2287 O
0.3094 0.6906 0.7713 O
0.6906 0.3094 0.2287 O
0.6906 0.3094 0.7713 O
0.7948 0.7948 0.0000 O
0.8084 0.8084 0.5000 O
```


Starting from DFT lattice parameters and positions (GGA-PBE), the powder X-ray diffraction pattern of Ac2ScTe5 was calculated for Cu Kα (weighted mean of Kα1 and Kα2).
Kinematic intensities with the Lorentz-polarization factor, no thermal factor.

Principal peaks in the range 10° ≤ 2θ ≤ 90°, most intense first:
2θ 31.51, I = 100
2θ 30.46, I = 96
2θ 29.04, I = 54
2θ 31.11, I = 38
2θ 15.60, I = 33
2θ 26.37, I = 28
2θ 51.70, I = 26
2θ 56.28, I = 23
2θ 41.48, I = 21
2θ 53.72, I = 21

Crystal structure
```
Ac2ScTe5
1.0
11.5261 0.0000 0.0000
0.0000 7.9447 0.0000
-5.3323 0.0000 6.1493
Ac Sc Te
4 2 10
Direct
0.0000 0.0000 0.0000 Ac
0.0049 0.5000 0.5635 Ac
0.5000 0.5000 0.0000 Ac
0.5049 0.0000 0.5635 Ac
0.2601 0.0000 0.8251 Sc
0.7601 0.5000 0.8251 Sc
0.2378 0.2369 0.5390 Te
0.2378 0.7631 0.5390 Te
0.2655 0.2626 0.0615 Te
0.2655 0.7374 0.0615 Te
0.4498 0.5000 0.5373 Te
0.7378 0.2631 0.5390 Te
0.7378 0.7369 0.5390 Te
0.7655 0.2374 0.0615 Te
0.7655 0.7626 0.0615 Te
0.9498 0.0000 0.5373 Te
```


Please write out number 1 again, unchanged.
Starting from DFT lattice parameters and positions (GGA-PBE), the powder X-ray diffraction pattern of SrZn2Ni2 was calculated for Cu Kα (weighted mean of Kα1 and Kα2).
Kinematic intensities with the Lorentz-polarization factor, no thermal factor.

Principal peaks in the range 10° ≤ 2θ ≤ 90°, most intense first:
2θ 34.09, I = 100
2θ 34.77, I = 94
2θ 42.49, I = 84
2θ 55.56, I = 47
2θ 47.17, I = 31
2θ 61.66, I = 26
2θ 63.66, I = 25
2θ 72.77, I = 20
2θ 50.26, I = 20
2θ 29.69, I = 17

Crystal structure
```
SrZn2Ni2
1.0
4.2548 0.0000 0.0000
0.0000 4.2548 0.0000
0.0000 0.0000 10.0350
Sr Zn Ni
2 4 4
Direct
0.0000 0.0000 0.0000 Sr
0.5000 0.5000 0.5000 Sr
0.0000 0.0000 0.3664 Zn
0.0000 0.0000 0.6336 Zn
0.5000 0.5000 0.1336 Zn
0.5000 0.5000 0.8664 Zn
0.0000 0.5000 0.2500 Ni
0.0000 0.5000 0.7500 Ni
0.5000 0.0000 0.2500 Ni
0.5000 0.0000 0.7500 Ni
```